# 1
The following is a calculated X-ray diffraction stick pattern of Mg3In5. It was derived from a crystal structure in Alexandria, relaxed with PBE, using Cu Kα (weighted mean of Kα1 and Kα2).

Most intense lines, 2θ = 5–70°, low angle first:
two_theta	I/Imax
22.1	47
24.7	26
31.2	43
31.4	33
33.6	100
34.2	26
34.7	69
35.5	69
37.1	55
40.8	33

Structure:
Cell: 8.9927 8.9927 8.2680 Å, 95.19 95.19 141.49°
Fractional coordinates of all 16 atoms:
Mg1 0.0000 0.0000 0.0000
Mg2 0.0022 0.5251 0.7089
Mg3 0.0117 0.6683 0.3301
Mg4 0.5251 0.0022 0.7089
Mg5 0.5667 0.5667 0.6602
Mg6 0.6683 0.0117 0.3301
In1 0.0813 0.0813 0.3661
In2 0.1522 0.9670 0.6935
In3 0.2420 0.5467 0.4425
In4 0.3253 0.9421 0.0582
In5 0.4558 0.6993 0.9457
In6 0.5355 0.5355 0.2310
In7 0.5467 0.2420 0.4425
In8 0.6993 0.4558 0.9457
In9 0.9421 0.3253 0.0582
In10 0.9670 0.1522 0.6935

***

# 2
The following is a calculated X-ray diffraction stick pattern of MgIn2. It was derived from a crystal structure in Alexandria, relaxed with PBE, using Cu Kα (weighted mean of Kα1 and Kα2).

Most intense lines, 2θ = 5–70°, low angle first:
two_theta	I/Imax
17.3	20
21.7	42
28.9	21
33.0	100
34.2	92
38.3	66
40.4	29
56.8	51
65.1	25
67.3	28

Structure:
Cell: 3.2426 4.4688 10.2521 Å, 90.00 90.00 90.00°
Fractional coordinates of all 6 atoms:
Mg1 0.0000 0.0000 0.0000
Mg2 0.5000 0.5000 0.5000
In1 0.0000 0.0000 0.3398
In2 0.0000 0.0000 0.6602
In3 0.5000 0.5000 0.1602
In4 0.5000 0.5000 0.8398

***

# 3
The following is a calculated X-ray diffraction stick pattern of MgIn5. It was derived from a crystal structure in Alexandria, relaxed with PBE, using Cu Kα (weighted mean of Kα1 and Kα2).

Most intense lines, 2θ = 5–70°, low angle first:
two_theta	I/Imax
31.5	27
32.3	44
35.0	56
35.5	100
45.7	19
55.3	18
59.4	12
59.7	21
65.5	21
68.1	16

Structure:
Cell: 5.5357 3.2660 17.3595 Å, 90.00 90.00 90.00°
Fractional coordinates of all 12 atoms:
Mg1 0.0000 0.0000 0.0000
Mg2 0.0000 0.5000 0.5000
In1 0.0000 0.0000 0.3360
In2 0.0000 0.0000 0.6629
In3 0.0000 0.5000 0.1629
In4 0.0000 0.5000 0.8360
In5 0.5000 0.0000 0.2255
In6 0.5000 0.0000 0.5557
In7 0.5000 0.0000 0.8926
In8 0.5000 0.5000 0.0557
In9 0.5000 0.5000 0.3926
In10 0.5000 0.5000 0.7255

***

# 4
The following is a calculated X-ray diffraction stick pattern of Mg7In2. It was derived from a crystal structure in Alexandria, relaxed with PBE, using Cu Kα (weighted mean of Kα1 and Kα2).

Most intense lines, 2θ = 5–70°, low angle first:
two_theta	I/Imax
11.5	69
18.3	19
21.6	25
31.9	19
34.0	100
35.0	26
39.8	70
56.8	18
58.1	27
68.5	20

Structure:
Cell: 5.6125 5.6125 7.6971 Å, 90.00 90.00 120.00°
Fractional coordinates of all 9 atoms:
Mg1 0.0000 0.0000 0.0000
Mg2 0.0000 0.3338 0.6672
Mg3 0.0000 0.6662 0.3328
Mg4 0.3338 0.0000 0.6672
Mg5 0.3338 0.3338 0.3328
Mg6 0.6662 0.0000 0.3328
Mg7 0.6662 0.6662 0.6672
In1 0.3333 0.6667 0.0000
In2 0.6667 0.3333 0.0000

***

# 5
The following is a calculated X-ray diffraction stick pattern of Mg2In. It was derived from a crystal structure in Alexandria, relaxed with PBE, using Cu Kα (weighted mean of Kα1 and Kα2).

Most intense lines, 2θ = 5–70°, low angle first:
two_theta	I/Imax
20.1	100
27.3	46
27.9	45
33.7	93
34.5	94
34.6	86
34.7	87
39.3	58
39.5	61
40.9	56

Structure:
Cell: 4.5631 5.4352 6.3202 Å, 104.84 90.06 113.10°
Fractional coordinates of all 6 atoms:
Mg1 0.0000 0.0000 0.0000
Mg2 0.0000 0.0000 0.5000
Mg3 0.3279 0.6613 0.1755
Mg4 0.6721 0.3387 0.8245
In1 0.3452 0.6800 0.6841
In2 0.6548 0.3200 0.3159

***

# 6
The following is a calculated X-ray diffraction stick pattern of MgMnInS4. It was derived from a crystal structure in Alexandria, relaxed with PBE, using Cu Kα (weighted mean of Kα1 and Kα2).

Most intense lines, 2θ = 5–70°, low angle first:
two_theta	I/Imax
14.4	36
14.6	100
27.6	72
28.3	47
33.5	96
34.4	44
37.0	25
47.7	22
48.6	22
48.8	83

Structure:
Cell: 7.4583 7.4583 7.4884 Å, 120.07 120.07 88.59°
Fractional coordinates of all 14 atoms:
Mg1 0.1233 0.8767 0.7500
Mg2 0.8767 0.1233 0.2500
Mn1 0.5000 0.5000 0.0000
Mn2 0.5000 0.5000 0.5000
In1 0.0000 0.5000 0.0000
In2 0.5000 0.0000 0.5000
S1 0.2680 0.7313 0.4897
S2 0.2687 0.7320 0.0103
S3 0.2776 0.2788 0.5279
S4 0.2788 0.2776 0.0279
S5 0.7212 0.7224 0.9721
S6 0.7224 0.7212 0.4721
S7 0.7313 0.2680 0.9897
S8 0.7320 0.2687 0.5103